(1)
YTiW2O8: simulated powder diffractogram (Cu Kα (λ = 1.5418 Å)), based on a PBE+U-relaxed structure.

Cell and atoms:
Unit cell a=5.349 b=5.821 c=9.725 alpha=88.92 beta=87.32 gamma=89.45
Space group P-1 (No. 2)
Asymmetric unit:
Y1 0.244 0.159 0.257 x2
Ti1 0.270 0.175 0.770 x2
W1 0.240 0.658 0.003 x2
W2 0.247 0.653 0.498 x2
O1 0.061 0.860 0.146 x2
O2 0.065 0.391 0.615 x2
O3 0.086 0.381 0.102 x2
O4 0.128 0.879 0.619 x2
O5 0.385 0.909 0.867 x2
O6 0.416 0.396 0.881 x2
O7 0.422 0.385 0.402 x2
O8 0.440 0.850 0.356 x2

Top 12 peaks for 2θ from 10° to 90°, sorted by position:
Position (°2θ)	d (Å)	Rel. int.
15.2	5.820	45
18.3	4.856	85
23.6	3.763	67
24.1	3.695	84
28.4	3.139	100
29.0	3.083	92
29.6	3.018	94
29.8	2.998	80
33.5	2.672	71
35.0	2.565	54
35.2	2.546	48
37.0	2.428	40

***

(2)
TiZn2WO6: simulated powder diffractogram (Cu Kα (λ = 1.5418 Å)), based on a PBE+U-relaxed structure.

Cell and atoms:
Unit cell a=5.2433 b=5.2433 c=14.0895 alpha=90.00 beta=90.00 gamma=120.00
Space group R3 (No. 146, hexagonal axes)
Asymmetric unit:
Ti1 0.0000 0.0000 0.0000 x3
Zn1 0.0000 0.0000 0.2695 x3
Zn2 0.0000 0.0000 0.7814 x3
W1 0.0000 0.0000 0.4962 x3
O1 0.0043 0.3729 0.7399 x9
O2 0.0429 0.6887 0.5731 x9

Top 12 peaks for 2θ from 10° to 90°, sorted by position:
Position (°2θ)	d (Å)	Rel. int.
18.9	4.697	23
20.6	4.322	39
23.3	3.817	29
32.2	2.783	100
34.2	2.622	79
39.4	2.289	29
47.7	1.908	40
52.3	1.749	26
56.0	1.642	14
60.0	1.543	35
61.2	1.514	26
69.9	1.345	13

***

(3)
TiZn2WO6: simulated powder diffractogram (Cu Kα (λ = 1.5418 Å)), based on a PBE+U-relaxed structure.

Cell and atoms:
Unit cell a=5.280 b=5.309 c=9.282 alpha=90.00 beta=123.21 gamma=90.00
Space group P2_1/c (No. 14)
Asymmetric unit:
Ti1 0.000 0.000 0.000 x2
Zn1 0.253 0.031 0.747 x4
W1 0.500 0.000 0.500 x2
O1 0.094 0.187 0.431 x4
O2 0.256 0.674 0.434 x4
O3 0.362 0.078 0.245 x4

Top 12 peaks for 2θ from 10° to 90°, sorted by position:
Position (°2θ)	d (Å)	Rel. int.
20.1	4.417	24
20.3	4.383	49
32.9	2.719	100
33.6	2.671	94
33.8	2.654	46
34.0	2.639	46
39.6	2.275	29
46.8	1.941	25
48.7	1.871	42
58.9	1.567	23
59.7	1.548	24
59.9	1.545	30

***

(4)
TmTlW2O8: simulated powder diffractogram (Cu Kα (λ = 1.5418 Å)), based on a PBE+U-relaxed structure.

Cell and atoms:
Unit cell a=10.927 b=10.565 c=7.460 alpha=90.00 beta=130.37 gamma=90.00
Space group C2/c (No. 15)
Asymmetric unit:
Tm1 0.000 0.223 0.250 x4
Tl1 0.000 0.205 0.750 x4
W1 0.196 0.495 0.216 x8
O1 0.018 0.389 0.463 x8
O2 0.131 0.089 0.191 x8
O3 0.188 0.432 0.941 x8
O4 0.213 0.156 0.618 x8

Top 12 peaks for 2θ from 10° to 90°, sorted by position:
Position (°2θ)	d (Å)	Rel. int.
27.3	3.270	100
27.5	3.243	32
28.0	3.188	19
29.3	3.045	99
31.5	2.842	41
33.0	2.715	25
33.4	2.684	21
33.9	2.641	19
47.0	1.935	24
49.2	1.853	18
54.6	1.681	18
55.9	1.644	23

***

(5)
Tl3V5O14: simulated powder diffractogram (Cu Kα (λ = 1.5418 Å)), based on a PBE+U-relaxed structure.

Cell and atoms:
Unit cell a=8.8515 b=8.8515 c=5.3284 alpha=90.00 beta=90.00 gamma=120.00
Space group P31m (No. 157)
Asymmetric unit:
Tl1 0.0000 0.6089 0.0000 x3
V1 0.0000 0.2278 0.5235 x3
V2 0.3333 0.6667 0.5310 x2
O1 0.0000 0.2463 0.2184 x3
O2 0.0000 0.8321 0.5917 x3
O3 0.1691 0.4609 0.6449 x6
O4 0.3333 0.6667 0.2185 x2

Top 12 peaks for 2θ from 10° to 90°, sorted by position:
Position (°2θ)	d (Å)	Rel. int.
20.1	4.426	28
26.2	3.405	100
28.7	3.111	29
30.9	2.897	22
33.6	2.664	14
35.1	2.555	14
39.5	2.283	19
42.5	2.126	18
46.0	1.975	20
46.3	1.961	12
55.0	1.670	12
55.3	1.662	13

***

(6)
TlV3O8: simulated powder diffractogram (Cu Kα (λ = 1.5418 Å)), based on a PBE+U-relaxed structure.

Cell and atoms:
Unit cell a=5.101 b=8.560 c=7.933 alpha=90.00 beta=97.27 gamma=90.00
Space group P2_1/m (No. 11)
Asymmetric unit:
Tl1 0.043 0.250 0.440 x2
V1 0.073 0.250 0.922 x2
V2 0.440 0.554 0.183 x4
O1 0.114 0.600 0.230 x4
O2 0.117 0.750 0.927 x2
O3 0.318 0.087 0.994 x4
O4 0.416 0.250 0.744 x2
O5 0.432 0.565 0.668 x4

Top 12 peaks for 2θ from 10° to 90°, sorted by position:
Position (°2θ)	d (Å)	Rel. int.
20.8	4.280	21
22.1	4.030	30
23.7	3.760	34
24.9	3.575	50
26.9	3.316	21
27.3	3.268	100
28.9	3.092	33
30.5	2.932	24
30.9	2.897	34
35.5	2.530	19
37.2	2.418	27
44.3	2.044	27

***

(7)
Tl4V2O7: simulated powder diffractogram (Cu Kα (λ = 1.5418 Å)), based on a PBE+U-relaxed structure.

Cell and atoms:
Unit cell a=6.0941 b=6.0941 c=7.9361 alpha=90.00 beta=90.00 gamma=120.00
Space group P-3m1 (No. 164)
Asymmetric unit:
Tl1 0.3333 0.6667 0.0753 x2
Tl2 0.3333 0.6667 0.5916 x2
V1 0.0000 0.0000 0.2693 x2
O1 0.0000 0.0000 0.5000 x1
O2 0.1551 0.3101 0.7998 x6

Top 12 peaks for 2θ from 10° to 90°, sorted by position:
Position (°2θ)	d (Å)	Rel. int.
16.8	5.278	24
28.1	3.172	100
29.3	3.047	82
37.2	2.417	13
41.1	2.197	41
49.1	1.857	24
51.3	1.782	37
52.0	1.759	17
58.2	1.586	11
60.8	1.524	13
66.5	1.407	19
68.3	1.373	17

***

(8)
TlVO3: simulated powder diffractogram (Cu Kα (λ = 1.5418 Å)), based on a PBE+U-relaxed structure.

Cell and atoms:
Unit cell a=5.306 b=11.352 c=5.921 alpha=90.00 beta=90.00 gamma=90.00
Space group Pbcm (No. 57)
Asymmetric unit:
Tl1 0.079 0.096 0.250 x4
V1 0.458 0.669 0.750 x4
O1 0.142 0.662 0.750 x4
O2 0.427 0.032 0.750 x4
O3 0.430 0.250 0.000 x4

Top 12 peaks for 2θ from 10° to 90°, sorted by position:
Position (°2θ)	d (Å)	Rel. int.
16.7	5.306	20
21.7	4.097	30
22.9	3.876	14
23.8	3.732	25
27.5	3.243	100
30.2	2.960	35
34.7	2.585	18
35.1	2.559	21
35.9	2.502	12
38.0	2.368	23
52.0	1.759	17
60.7	1.527	13

***

(9)
TlV4O10: simulated powder diffractogram (Cu Kα (λ = 1.5418 Å)), based on a PBE+U-relaxed structure.

Cell and atoms:
Unit cell a=11.735 b=3.714 c=10.049 alpha=90.00 beta=100.60 gamma=90.00
Space group C2/m (No. 12)
Asymmetric unit:
Tl1 0.000 0.000 0.000 x2
V1 0.089 0.500 0.656 x4
V2 0.206 0.500 0.339 x4
O1 0.065 0.500 0.405 x4
O2 0.098 0.500 0.821 x4
O3 0.121 0.000 0.630 x4
O4 0.159 0.500 0.175 x4
O5 0.242 0.000 0.381 x4

Top 12 peaks for 2θ from 10° to 90°, sorted by position:
Position (°2θ)	d (Å)	Rel. int.
15.4	5.767	36
16.3	5.435	53
19.2	4.624	79
21.4	4.147	65
26.3	3.390	42
27.1	3.293	74
27.3	3.270	85
30.3	2.955	63
32.0	2.801	33
33.6	2.668	100
34.0	2.640	36
46.4	1.957	49

***

(10)
TlW3O9: simulated powder diffractogram (Cu Kα (λ = 1.5418 Å)), based on a PBE+U-relaxed structure.

Cell and atoms:
Unit cell a=7.5283 b=7.5283 c=3.8740 alpha=90.00 beta=90.00 gamma=120.00
Space group P6mm (No. 183)
Asymmetric unit:
Tl1 0.0000 0.0000 0.0000 x1
W1 0.0000 0.5000 0.5652 x3
O1 0.0000 0.5000 0.0656 x3
O2 0.2102 0.4203 0.5663 x6

Top 12 peaks for 2θ from 10° to 90°, sorted by position:
Position (°2θ)	d (Å)	Rel. int.
23.0	3.874	16
26.8	3.330	51
27.4	3.260	100
33.2	2.700	29
36.0	2.494	14
43.5	2.079	19
48.0	1.895	12
48.4	1.882	25
55.2	1.665	26
56.1	1.639	14
56.5	1.630	15
69.7	1.350	15

***

(11)
Tl6WO12: simulated powder diffractogram (Cu Kα (λ = 1.5418 Å)), based on a PBE+U-relaxed structure.

Cell and atoms:
Unit cell a=9.9086 b=9.9086 c=9.5294 alpha=90.00 beta=90.00 gamma=120.00
Space group R-3 (No. 148, hexagonal axes)
Asymmetric unit:
Tl1 0.0435 0.7865 0.1517 x18
W1 0.0000 0.0000 0.5000 x3
O1 0.0208 0.7964 0.8987 x18
O2 0.0324 0.8540 0.3861 x18

Top 12 peaks for 2θ from 10° to 90°, sorted by position:
Position (°2θ)	d (Å)	Rel. int.
28.1	3.176	35
29.1	3.070	100
33.4	2.681	55
47.3	1.920	28
48.6	1.873	25
56.0	1.643	15
57.1	1.613	25
57.7	1.599	13
60.3	1.535	11
70.2	1.341	7
78.7	1.216	9
79.1	1.211	8